1.
This entry pairs a crystal structure of MgFePbO3 with its computed powder X-ray diffraction pattern. Radiation: CuKα. Structure: DFT lattice parameters and positions (GGA+U).
Intensities are scaled so that the largest is 100.

```
12
Lattice="6.5031 0.0000 0.0000 0.0000 5.9196 0.0000 -0.5841 0.0000 4.3841" Properties=species:S:1:pos:R:3 pbc="T T T"
Mg 0.0000 0.0000 0.0000
Mg 3.2516 2.9598 0.0000
Fe 1.5383 0.0000 3.0805
Fe 4.7899 2.9598 3.0805
Pb 0.6951 2.9598 1.5914
Pb 3.9466 0.0000 1.5914
O -0.1473 1.4704 3.1289
O -0.1473 4.4491 3.1289
O 1.7531 0.0000 0.9218
O 3.1043 1.4894 3.1289
O 3.1043 4.4302 3.1289
O 5.0046 2.9598 0.9218
```

Top 8 peaks for 2θ = 15–90°, in order of rising 2θ:
two_theta	I (rel.)
20.26	26.1
20.37	51.6
27.53	36.6
30.18	100.0
36.66	27.9
44.58	27.9
44.74	27.7
44.88	27.5

2.
This entry pairs a crystal structure of Rb8MgFe2O8 with its computed powder X-ray diffraction pattern. Radiation: CuKα. Structure: DFT lattice parameters and positions (GGA+U).
Intensities are scaled so that the largest is 100.

```
19
Lattice="7.0479 0.0000 0.0000 3.0835 6.3888 0.0000 3.0125 0.1638 9.2915" Properties=species:S:1:pos:R:3 pbc="T T T"
Rb 0.0000 0.0000 0.0000
Rb 4.0806 3.3470 6.5914
Rb 2.7602 0.2850 5.3377
Rb 4.4680 3.4192 2.9519
Rb 3.2728 0.2773 1.4504
Rb 9.1086 5.9526 7.1842
Rb 8.1716 4.0351 4.2070
Rb 8.0787 3.3014 0.9061
Mg 6.8725 2.3034 6.3696
Fe 7.5818 3.2934 8.4257
Fe 6.8515 0.4169 3.6665
O 6.0082 2.1568 8.4212
O 6.9331 4.2967 6.8339
O 5.3832 4.1799 0.4247
O 5.8190 1.6190 4.9170
O 8.8479 5.9533 2.3296
O 8.6548 2.0500 7.3018
O 10.5687 5.3726 4.7933
O 8.3037 1.4583 2.9681
```

Top 8 peaks for 2θ = 15–90°, in order of rising 2θ:
two_theta	I (rel.)
27.78	51.7
27.93	63.1
28.16	100.0
28.53	43.0
28.76	49.1
29.86	68.2
33.15	69.9
34.70	30.0

3.
This entry pairs a crystal structure of Rb2MgFe2O4 with its computed powder X-ray diffraction pattern. Radiation: CuKα. Structure: DFT lattice parameters and positions (GGA+U).
Intensities are scaled so that the largest is 100.

```
9
Lattice="5.8715 0.0000 0.0000 2.6996 5.2192 0.0000 2.5816 1.6004 5.2923" Properties=species:S:1:pos:R:3 pbc="T T T"
Rb 0.0000 0.0000 0.0000
Rb 2.7952 1.7127 1.8891
Mg 5.9164 3.6228 3.5027
Fe 5.4668 3.3355 1.0884
Fe 8.4046 5.1313 3.1776
O 4.2190 4.2672 2.7578
O 7.0984 4.3534 4.8537
O 5.7428 1.8096 2.7770
O 6.9605 4.2618 1.8803
```

Top 8 peaks for 2θ = 15–90°, in order of rising 2θ:
two_theta	I (rel.)
27.83	22.2
29.25	76.6
30.51	100.0
32.50	48.2
33.42	37.5
33.54	37.7
44.20	21.7
47.52	21.3

4.
This entry pairs a crystal structure of Rb2MgFe2O4 with its computed powder X-ray diffraction pattern. Radiation: CuKα. Structure: DFT lattice parameters and positions (GGA+U).
Intensities are scaled so that the largest is 100.

```
9
Lattice="5.6191 0.0000 0.0000 -2.0528 5.3521 0.0000 -1.2119 -2.8804 5.8831" Properties=species:S:1:pos:R:3 pbc="T T T"
Rb 0.0000 0.0000 0.0000
Rb -0.0821 0.3371 4.6005
Mg 2.9000 -0.6842 2.7213
Fe -1.3596 2.8799 2.6378
Fe 1.4498 2.3118 2.3097
O 0.0574 3.2692 1.2434
O 0.1374 3.1367 3.9419
O 2.8141 1.2055 3.1012
O 2.6645 4.0293 2.3099
```

Top 8 peaks for 2θ = 15–90°, in order of rising 2θ:
two_theta	I (rel.)
18.46	42.7
19.08	52.7
25.56	47.1
27.34	41.1
27.74	100.0
28.69	46.4
32.07	61.3
37.82	81.8

5.
This entry pairs a crystal structure of Rb2MgFe2O4 with its computed powder X-ray diffraction pattern. Radiation: CuKα. Structure: DFT lattice parameters and positions (GGA+U).
Intensities are scaled so that the largest is 100.

```
9
Lattice="3.2987 -4.8386 0.0000 3.2987 4.8386 0.0000 -3.2254 0.0000 4.8143" Properties=species:S:1:pos:R:3 pbc="T T T"
Rb 0.0000 0.0000 0.0000
Rb 1.6860 -2.3293 2.4072
Mg 3.2987 -1.1829 0.0000
Fe 3.2987 1.5280 0.0000
Fe 1.6860 1.4892 2.4072
O 1.5616 2.4943 0.5701
O 0.4534 0.1579 3.3531
O 1.8105 2.4943 4.2443
O 2.9187 0.1579 1.4612
```

Top 8 peaks for 2θ = 15–90°, in order of rising 2θ:
two_theta	I (rel.)
18.81	38.1
26.11	45.0
32.20	100.0
32.68	62.8
32.86	70.0
33.16	46.8
37.36	40.7
42.15	55.7

6.
This entry pairs a crystal structure of RbMg14FeO16 with its computed powder X-ray diffraction pattern. Radiation: CuKα. Structure: DFT lattice parameters and positions (GGA+U).
Intensities are scaled so that the largest is 100.

```
32
Lattice="8.7072 0.0000 0.0000 0.0000 8.7072 0.0000 0.0000 0.0000 4.3915" Properties=species:S:1:pos:R:3 pbc="T T T"
Rb 0.0000 0.0000 0.0000
Mg 0.0000 2.2496 2.1957
Mg 0.0000 4.3536 0.0000
Mg 0.0000 6.4576 2.1957
Mg 2.1651 4.3536 2.1957
Mg 2.1811 2.1811 0.0000
Mg 2.1811 6.5261 0.0000
Mg 2.2496 0.0000 2.1957
Mg 4.3536 0.0000 0.0000
Mg 4.3536 2.1651 2.1957
Mg 4.3536 6.5422 2.1957
Mg 6.4576 0.0000 2.1957
Mg 6.5261 2.1811 0.0000
Mg 6.5261 6.5261 0.0000
Mg 6.5422 4.3536 2.1957
Fe 4.3536 4.3536 0.0000
O 0.0000 0.0000 2.1957
O 0.0000 2.4436 0.0000
O 0.0000 4.3536 2.1957
O 0.0000 6.2637 0.0000
O 2.1870 2.1870 2.1957
O 2.1870 6.5202 2.1957
O 2.2726 4.3536 0.0000
O 2.4436 0.0000 0.0000
O 4.3536 0.0000 2.1957
O 4.3536 2.2726 0.0000
O 4.3536 4.3536 2.1957
O 4.3536 6.4346 0.0000
O 6.2637 0.0000 0.0000
O 6.4346 4.3536 0.0000
O 6.5202 2.1870 2.1957
O 6.5202 6.5202 2.1957
```

Top 8 peaks for 2θ = 15–90°, in order of rising 2θ:
two_theta	I (rel.)
24.90	12.0
35.62	33.3
41.11	53.0
41.48	100.0
59.83	58.8
60.11	28.1
71.87	13.3
75.42	26.1